Diffraction record for Sr2NbIrN2O4. The powder diffractogram is simulated, not measured: it uses a GGA-PBE-relaxed structure and copper Kα.

Crystal structure
a = 5.6623 Å, b = 5.6714 Å, c = 7.9598 Å
α = 89.89°, β = 89.73°, γ = 90.00°
Sites, in units of the cell vectors:
1 Sr 0.0000 0.0000 0.0000
2 Sr 0.0248 0.9990 0.5001
3 Sr 0.4811 0.5022 0.9887
4 Sr 0.5075 0.5084 0.4901
5 Nb 0.0107 0.4908 0.2477
6 Nb 0.5218 0.0039 0.7492
7 Ir 0.4967 0.0135 0.2346
8 Ir 0.9820 0.5036 0.7495
9 N 0.2323 0.2405 0.2336
10 N 0.5038 0.9775 0.0021
11 N 0.7472 0.2652 0.7637
12 N 0.7670 0.7596 0.7353
13 O 0.0050 0.5499 0.9973
14 O 0.2313 0.2386 0.7677
15 O 0.2628 0.7318 0.7220
16 O 0.2722 0.7394 0.2675
17 O 0.4941 0.0468 0.4908
18 O 0.7167 0.2940 0.2208
19 O 0.7795 0.7896 0.2710
20 O 0.9890 0.4643 0.4983

The 6 most intense peaks (10 to 90 degrees two-theta), sorted by position:
two_theta	I_rel
31.59	100
31.69	66
31.76	33
45.26	38
56.24	33
56.40	26



Diffraction record for Sr2NbIrN2O4. The powder diffractogram is simulated, not measured: it uses a GGA-PBE-relaxed structure and copper Kα.

Crystal structure
a = 5.6488 Å, b = 5.6569 Å, c = 7.9869 Å
α = 90.12°, β = 90.03°, γ = 90.11°
Sites, in units of the cell vectors:
1 Sr 0.0000 0.0000 0.0000
2 Sr 0.0012 0.0091 0.4970
3 Sr 0.4930 0.5138 0.9998
4 Sr 0.4997 0.5244 0.4933
5 Nb 0.4987 0.0136 0.7391
6 Nb 0.9885 0.4960 0.2464
7 Ir 0.0021 0.5083 0.7463
8 Ir 0.5086 0.0176 0.2563
9 N 0.2505 0.7425 0.7471
10 N 0.4778 0.0380 0.4961
11 N 0.7428 0.2661 0.2452
12 N 0.7540 0.2782 0.7482
13 O 0.0441 0.4702 0.4976
14 O 0.2407 0.2514 0.7939
15 O 0.2461 0.2502 0.2143
16 O 0.2656 0.7473 0.2471
17 O 0.5397 0.9698 0.0002
18 O 0.7648 0.7659 0.7084
19 O 0.7670 0.7719 0.2839
20 O 0.9697 0.5518 0.9979

The 6 most intense peaks (10 to 90 degrees two-theta), sorted by position:
two_theta	I_rel
22.25	13
31.67	100
45.39	29
56.35	17
56.44	23
66.11	11



Diffraction record for Sr2NbIrN2O4. The powder diffractogram is simulated, not measured: it uses a GGA-PBE-relaxed structure and copper Kα.

Crystal structure
a = 5.6465 Å, b = 5.6703 Å, c = 7.9696 Å
α = 89.77°, β = 89.83°, γ = 89.98°
Sites, in units of the cell vectors:
1 Sr 0.0000 0.0000 0.0000
2 Sr 0.0106 0.0006 0.5105
3 Sr 0.4997 0.4672 0.0004
4 Sr 0.5115 0.4665 0.5111
5 Nb 0.0040 0.5047 0.7597
6 Nb 0.5052 0.9772 0.2483
7 Ir 0.0050 0.4884 0.2481
8 Ir 0.5040 0.9618 0.7650
9 N 0.0043 0.5117 0.0134
10 N 0.2604 0.7354 0.7469
11 N 0.5063 0.9556 0.0082
12 N 0.7530 0.7410 0.7458
13 O 0.0029 0.4482 0.5019
14 O 0.2198 0.2013 0.2446
15 O 0.2512 0.2251 0.7706
16 O 0.2868 0.6982 0.2778
17 O 0.5006 0.0164 0.5070
18 O 0.7199 0.2692 0.2468
19 O 0.7479 0.2328 0.7697
20 O 0.7912 0.7678 0.2791

The 6 most intense peaks (10 to 90 degrees two-theta), sorted by position:
two_theta	I_rel
22.25	20
31.58	49
31.71	100
45.33	29
56.37	24
56.49	15